# FeTc2F
Theoretical XRD peak list, copper Kα. Input: a structure optimized by DFT (PBE+U).
Intensities are scaled so that the largest is 100.

Structural model:
```
FeTc2F
1.0
5.946 0.000 0.000
0.000 5.946 0.000
0.000 0.000 5.946
Fe Tc F
4 8 4
Direct
0.000 0.000 0.000
0.000 0.500 0.500
0.500 0.000 0.500
0.500 0.500 0.000
0.250 0.250 0.250
0.250 0.250 0.750
0.250 0.750 0.250
0.250 0.750 0.750
0.750 0.250 0.250
0.750 0.250 0.750
0.750 0.750 0.250
0.750 0.750 0.750
0.000 0.000 0.500
0.000 0.500 0.000
0.500 0.000 0.000
0.500 0.500 0.500
```

The 8 most intense peaks (2θ = 10–90°), sorted by position:
2θ 25.96, intensity 5
2θ 30.06, intensity 26
2θ 43.03, intensity 100
2θ 50.94, intensity 2
2θ 53.38, intensity 7
2θ 62.48, intensity 16
2θ 70.88, intensity 9
2θ 78.87, intensity 30